1.
This entry pairs a crystal structure of KCuB2Br8 with its theoretical XRD peak list. Radiation: Cu Kα (weighted mean of Kα1 and Kα2). Structure: a DFT-relaxed cell (PBE, Alexandria).

Principal peaks in the range 10 to 90 degrees two-theta, by angle:
| two_theta | I_rel |
| --- | --- |
| 20.27 | 19 |
| 27.83 | 32 |
| 29.55 | 100 |
| 33.76 | 90 |
| 47.38 | 29 |
| 49.59 | 32 |
| 57.82 | 19 |
| 58.79 | 11 |
| 61.36 | 17 |
| 82.66 | 11 |

Atomic structure:
```
KCuB2Br8
1.0
3.184 1.838 9.617
-3.184 1.838 9.617
0.000 -3.677 9.617
K Cu B Br
1 1 2 8
Cartesian
0.000 0.000 0.000
0.000 0.000 14.425
0.000 0.000 7.083
0.000 0.000 21.766
-1.242 -1.791 12.782
-2.172 0.180 16.068
0.000 0.000 9.117
-0.930 1.971 12.782
0.930 -1.971 16.068
0.000 0.000 19.733
2.172 -0.180 12.782
1.242 1.791 16.068
```

=====

2.
This entry pairs a crystal structure of Cu3B7BrO13 with its theoretical XRD peak list. Radiation: Cu Kα (weighted mean of Kα1 and Kα2). Structure: a DFT-relaxed cell (PBE, Alexandria).

Principal peaks in the range 10 to 90 degrees two-theta, by angle:
| two_theta | I_rel |
| --- | --- |
| 25.52 | 18 |
| 29.55 | 100 |
| 33.13 | 77 |
| 42.28 | 62 |
| 44.32 | 20 |
| 50.04 | 21 |
| 52.43 | 31 |
| 63.44 | 23 |
| 69.53 | 31 |
| 77.32 | 29 |

Atomic structure:
```
Cu3B7BrO13
1.0
0.000 6.046 6.046
6.046 0.000 6.046
6.046 6.046 0.000
Cu B Br O
6 14 2 26
Cartesian
6.046 6.046 3.023
6.046 3.023 6.046
9.069 6.046 6.046
3.023 6.046 6.046
6.046 9.069 6.046
6.046 6.046 9.069
3.023 3.023 0.000
3.023 0.000 3.023
6.046 3.023 3.023
2.044 2.044 2.044
4.002 4.002 2.044
4.002 2.044 4.002
2.044 4.002 4.002
0.000 3.023 3.023
3.023 6.046 3.023
3.023 3.023 6.046
8.090 8.090 8.090
10.048 10.048 8.090
10.048 8.090 10.048
8.090 10.048 10.048
0.000 0.000 0.000
6.046 6.046 6.046
7.881 5.203 3.241
6.889 3.241 4.211
8.851 4.211 5.203
5.203 4.211 2.805
9.287 6.889 4.211
7.881 2.805 6.889
3.023 3.023 3.023
6.889 7.881 2.805
4.211 2.805 5.203
9.287 5.203 7.881
4.211 6.889 3.241
8.851 7.881 6.889
5.203 3.241 7.881
2.805 5.203 4.211
7.881 9.287 5.203
6.889 4.211 9.287
5.203 8.851 4.211
3.241 4.211 6.889
7.881 6.889 8.851
9.069 9.069 9.069
3.241 7.881 5.203
6.889 8.851 7.881
4.211 5.203 8.851
4.211 9.287 6.889
2.805 6.889 7.881
5.203 7.881 9.287
```

=====

3.
This entry pairs a crystal structure of Eu2BBrN2 with its theoretical XRD peak list. Radiation: Cu Kα (weighted mean of Kα1 and Kα2). Structure: a DFT-relaxed cell (PBE, Alexandria).

Principal peaks in the range 10 to 90 degrees two-theta, by angle:
| two_theta | I_rel |
| --- | --- |
| 19.86 | 24 |
| 26.32 | 27 |
| 28.77 | 100 |
| 37.13 | 43 |
| 42.46 | 12 |
| 44.86 | 32 |
| 49.51 | 14 |
| 54.17 | 17 |
| 61.90 | 19 |
| 72.89 | 14 |

Atomic structure:
```
Eu2BBrN2
1.0
2.021 1.167 8.941
-2.021 1.167 8.941
0.000 -2.333 8.941
Eu B Br N
2 1 1 2
Cartesian
0.000 0.000 6.659
0.000 0.000 20.165
0.000 0.000 13.412
0.000 0.000 0.000
0.000 0.000 12.061
0.000 0.000 14.763
```